Starting from DFT lattice parameters and positions (GGA-PBE), the powder diffraction line list of SrPr2Ga4 was calculated for Cu Kα (λ = 1.5418 Å).
Intensities are scaled so that the largest is 100.

Top 10 peaks for 2θ from 10° to 80°, by angle:
| two_theta | d [Å] | I (rel.) |
| --- | --- | --- |
| 30.05 | 2.973 | 100.0 |
| 30.55 | 2.927 | 51.6 |
| 34.34 | 2.611 | 20.0 |
| 39.01 | 2.309 | 31.5 |
| 39.48 | 2.282 | 27.6 |
| 40.60 | 2.222 | 32.9 |
| 42.41 | 2.131 | 24.9 |
| 53.16 | 1.723 | 21.5 |
| 56.71 | 1.623 | 18.7 |
| 58.98 | 1.566 | 18.5 |

Structure:
a b c (Å): 9.967 9.967 9.967
angles (deg): 155.31 153.21 36.75
Element x y z (fractional)
Sr  0.000  0.000  0.000
Pr  0.184  0.684  0.500
Pr  0.816  0.316  0.500
Ga  0.354  0.854  0.500
Ga  0.433  0.433  0.000
Ga  0.567  0.567  0.000
Ga  0.646  0.146  0.500